Diffraction record for Cs2PmAlS4. The X-ray powder pattern is theoretical, not measured: it uses a GGA-PBE-relaxed structure and copper Kα.
Lines closer than 0.1° are merged.

Principal peaks in the range 2θ from 10° to 90°, by angle:
- 22.9°, rel. 100
- 23.2°, rel. 78
- 27.3°, rel. 58
- 30.4°, rel. 49
- 33.1°, rel. 55
- 34.8°, rel. 21
- 37.7°, rel. 53
- 38.6°, rel. 43
- 45.6°, rel. 28
- 45.9°, rel. 23

Cell lengths 8.144, 8.144, 8.395 Å; angles 106.23, 106.23, 92.53 degrees
Positions (direct):
Cs (0.000, 0.000, 0.000)
Cs (0.000, 0.000, 0.500)
Cs (0.000, 0.500, 0.000)
Cs (0.500, 0.000, 0.500)
Pm (0.500, 0.500, 0.000)
Pm (0.500, 0.500, 0.500)
Al (0.000, 0.500, 0.500)
Al (0.500, 0.000, 0.000)
S (0.187, 0.653, 0.429)
S (0.262, 0.371, 0.652)
S (0.347, 0.813, 0.071)
S (0.371, 0.262, 0.152)
S (0.629, 0.738, 0.848)
S (0.653, 0.187, 0.929)
S (0.738, 0.629, 0.348)
S (0.813, 0.347, 0.571)

---

Diffraction record for Sc6SnSb3. The X-ray powder pattern is theoretical, not measured: it uses a GGA-PBE-relaxed structure and copper Kα.
Lines closer than 0.1° are merged.

Principal peaks in the range 2θ from 10° to 90°, by angle:
- 22.2°, rel. 44
- 25.8°, rel. 22
- 26.0°, rel. 20
- 34.3°, rel. 100
- 34.5°, rel. 97
- 36.8°, rel. 32
- 37.1°, rel. 33
- 45.3°, rel. 24
- 69.7°, rel. 24
- 70.2°, rel. 23

Cell lengths 7.691, 7.691, 8.013 Å; angles 90.00, 90.00, 89.36 degrees
Positions (direct):
Sc (0.001, 0.499, 0.750)
Sc (0.157, 0.843, 0.501)
Sc (0.157, 0.843, 0.999)
Sc (0.343, 0.343, 0.000)
Sc (0.343, 0.343, 0.500)
Sc (0.499, 0.001, 0.250)
Sc (0.501, 0.999, 0.750)
Sc (0.657, 0.657, 0.000)
Sc (0.657, 0.657, 0.500)
Sc (0.843, 0.157, 0.001)
Sc (0.843, 0.157, 0.499)
Sc (0.999, 0.501, 0.250)
Sn (0.353, 0.647, 0.750)
Sn (0.647, 0.353, 0.250)
Sb (0.147, 0.149, 0.250)
Sb (0.149, 0.147, 0.750)
Sb (0.354, 0.646, 0.250)
Sb (0.646, 0.354, 0.750)
Sb (0.851, 0.853, 0.250)
Sb (0.853, 0.851, 0.750)

---

Diffraction record for Tb5GeBi4. The X-ray powder pattern is theoretical, not measured: it uses a GGA-PBE-relaxed structure and copper Kα.
Lines closer than 0.1° are merged.

Principal peaks in the range 2θ from 10° to 90°, by angle:
- 28.5°, rel. 100
- 35.7°, rel. 3
- 40.7°, rel. 76
- 50.5°, rel. 27
- 58.9°, rel. 4
- 59.0°, rel. 8
- 66.7°, rel. 23
- 66.8°, rel. 11
- 74.1°, rel. 25
- 88.2°, rel. 6

Cell lengths 7.671, 7.671, 7.671 Å; angles 99.62, 99.62, 131.73 degrees
Positions (direct):
Tb (0.000, 0.000, 0.000)
Tb (0.218, 0.402, 0.620)
Tb (0.402, 0.782, 0.185)
Tb (0.598, 0.218, 0.815)
Tb (0.782, 0.598, 0.380)
Ge (0.500, 0.500, 0.000)
Bi (0.093, 0.696, 0.789)
Bi (0.304, 0.093, 0.397)
Bi (0.696, 0.907, 0.603)
Bi (0.907, 0.304, 0.211)

---

Diffraction record for Sr3Ga4Si. The X-ray powder pattern is theoretical, not measured: it uses a GGA-PBE-relaxed structure and copper Kα.
Lines closer than 0.1° are merged.

Principal peaks in the range 2θ from 10° to 90°, by angle:
- 18.1°, rel. 19
- 22.7°, rel. 31
- 26.2°, rel. 100
- 31.4°, rel. 96
- 35.1°, rel. 57
- 38.3°, rel. 53
- 39.6°, rel. 54
- 41.1°, rel. 31
- 54.0°, rel. 43
- 62.4°, rel. 20

Cell lengths 9.352, 9.352, 9.352 Å; angles 148.29, 146.66, 46.67 degrees
Positions (direct):
Sr (0.000, 0.000, 0.000)
Sr (0.295, 0.795, 0.500)
Sr (0.705, 0.205, 0.500)
Ga (0.117, 0.379, 0.738)
Ga (0.360, 0.621, 0.738)
Ga (0.640, 0.379, 0.262)
Ga (0.883, 0.621, 0.262)
Si (0.500, 0.500, 0.000)

---

Diffraction record for Pm12Tl2Ga5. The X-ray powder pattern is theoretical, not measured: it uses a GGA-PBE-relaxed structure and copper Kα.
Lines closer than 0.1° are merged.

Principal peaks in the range 2θ from 10° to 90°, by angle:
- 24.0°, rel. 36
- 27.7°, rel. 35
- 29.5°, rel. 35
- 30.5°, rel. 26
- 31.6°, rel. 100
- 31.8°, rel. 22
- 34.6°, rel. 35
- 39.0°, rel. 25
- 39.5°, rel. 23
- 50.4°, rel. 25

Cell lengths 9.648, 9.648, 9.223 Å; angles 99.50, 99.50, 44.12 degrees
Positions (direct):
Pm (0.018, 0.018, 0.233)
Pm (0.061, 0.583, 0.402)
Pm (0.098, 0.622, 0.003)
Pm (0.378, 0.902, 0.997)
Pm (0.400, 0.400, 0.711)
Pm (0.417, 0.939, 0.598)
Pm (0.583, 0.061, 0.402)
Pm (0.600, 0.600, 0.289)
Pm (0.622, 0.098, 0.003)
Pm (0.902, 0.378, 0.997)
Pm (0.939, 0.417, 0.598)
Pm (0.982, 0.982, 0.767)
Tl (0.279, 0.721, 0.500)
Tl (0.721, 0.279, 0.500)
Ga (0.187, 0.187, 0.288)
Ga (0.247, 0.247, 0.840)
Ga (0.500, 0.500, 0.000)
Ga (0.753, 0.753, 0.160)
Ga (0.813, 0.813, 0.712)

---

Diffraction record for Tb4CeY5. The X-ray powder pattern is theoretical, not measured: it uses a GGA-PBE-relaxed structure and copper Kα.
Lines closer than 0.1° are merged.

Principal peaks in the range 2θ from 10° to 90°, by angle:
- 27.0°, rel. 34
- 30.4°, rel. 100
- 30.9°, rel. 98
- 31.1°, rel. 93
- 33.0°, rel. 77
- 35.8°, rel. 38
- 36.0°, rel. 35
- 36.9°, rel. 60
- 57.4°, rel. 27
- 63.3°, rel. 34

Cell lengths 9.078, 9.078, 10.867 Å; angles 106.89, 106.89, 22.17 degrees
Positions (direct):
Tb (0.093, 0.093, 0.308)
Tb (0.304, 0.304, 0.418)
Tb (0.696, 0.696, 0.582)
Tb (0.907, 0.907, 0.692)
Ce (0.500, 0.500, 0.500)
Y (0.105, 0.105, 0.786)
Y (0.206, 0.206, 0.100)
Y (0.500, 0.500, 0.000)
Y (0.794, 0.794, 0.900)
Y (0.895, 0.895, 0.214)

---

Diffraction record for K3Zn2Ag5. The X-ray powder pattern is theoretical, not measured: it uses a GGA-PBE-relaxed structure and copper Kα.
Lines closer than 0.1° are merged.

Principal peaks in the range 2θ from 10° to 90°, by angle:
- 12.0°, rel. 100
- 15.6°, rel. 52
- 18.0°, rel. 57
- 30.2°, rel. 52
- 35.4°, rel. 48
- 35.7°, rel. 54
- 37.2°, rel. 43
- 37.7°, rel. 75
- 40.2°, rel. 66
- 41.8°, rel. 67

Cell lengths 15.351, 15.351, 5.622 Å; angles 98.16, 98.16, 148.96 degrees
Positions (direct):
K (0.013, 0.987, 0.750)
K (0.091, 0.469, 0.803)
K (0.469, 0.091, 0.303)
K (0.531, 0.909, 0.697)
K (0.909, 0.531, 0.197)
K (0.987, 0.013, 0.250)
Zn (0.231, 0.419, 0.258)
Zn (0.419, 0.231, 0.758)
Zn (0.581, 0.769, 0.242)
Zn (0.769, 0.581, 0.742)
Ag (0.100, 0.900, 0.250)
Ag (0.118, 0.882, 0.750)
Ag (0.261, 0.415, 0.769)
Ag (0.415, 0.261, 0.269)
Ag (0.488, 0.512, 0.250)
Ag (0.512, 0.488, 0.750)
Ag (0.585, 0.739, 0.731)
Ag (0.739, 0.585, 0.231)
Ag (0.882, 0.118, 0.250)
Ag (0.900, 0.100, 0.750)

---

Diffraction record for Na2Bi4O7. The X-ray powder pattern is theoretical, not measured: it uses a GGA-PBE-relaxed structure and copper Kα.
Lines closer than 0.1° are merged.

Principal peaks in the range 2θ from 10° to 90°, by angle:
- 17.4°, rel. 57
- 19.5°, rel. 43
- 20.6°, rel. 27
- 21.4°, rel. 31
- 22.6°, rel. 36
- 26.9°, rel. 34
- 28.4°, rel. 100
- 30.0°, rel. 26
- 30.9°, rel. 50
- 43.6°, rel. 25

Cell lengths 10.406, 10.406, 5.980 Å; angles 104.34, 104.34, 113.30 degrees
Positions (direct):
Na (0.017, 0.837, 0.933)
Na (0.163, 0.983, 0.567)
Na (0.837, 0.017, 0.433)
Na (0.983, 0.163, 0.067)
Bi (0.108, 0.611, 0.320)
Bi (0.220, 0.359, 0.716)
Bi (0.359, 0.220, 0.216)
Bi (0.389, 0.892, 0.180)
Bi (0.611, 0.108, 0.820)
Bi (0.641, 0.780, 0.784)
Bi (0.780, 0.641, 0.284)
Bi (0.892, 0.389, 0.680)
O (0.000, 0.284, 0.466)
O (0.000, 0.716, 0.534)
O (0.121, 0.493, 0.946)
O (0.174, 0.203, 0.889)
O (0.186, 0.814, 0.250)
O (0.203, 0.174, 0.389)
O (0.284, 0.000, 0.966)
O (0.493, 0.121, 0.446)
O (0.507, 0.879, 0.554)
O (0.716, 0.000, 0.034)
O (0.797, 0.826, 0.611)
O (0.814, 0.186, 0.750)
O (0.826, 0.797, 0.111)
O (0.879, 0.507, 0.054)

---

Diffraction record for RbSrTc2O7. The X-ray powder pattern is theoretical, not measured: it uses a GGA-PBE-relaxed structure and copper Kα.
Lines closer than 0.1° are merged.

Principal peaks in the range 2θ from 10° to 90°, by angle:
- 23.0°, rel. 64
- 23.4°, rel. 32
- 25.6°, rel. 55
- 30.1°, rel. 100
- 33.3°, rel. 59
- 35.8°, rel. 43
- 46.4°, rel. 51
- 51.9°, rel. 30
- 56.3°, rel. 35
- 68.8°, rel. 26

Cell lengths 11.746, 11.746, 11.746 Å; angles 160.81, 160.81, 27.27 degrees
Positions (direct):
Rb (0.000, 0.000, 0.000)
Sr (0.250, 0.750, 0.500)
Tc (0.660, 0.160, 0.500)
Tc (0.840, 0.340, 0.500)
O (0.167, 0.167, 0.000)
O (0.332, 0.332, 0.000)
O (0.582, 0.082, 0.500)
O (0.668, 0.668, 0.000)
O (0.750, 0.250, 0.500)
O (0.833, 0.833, 0.000)
O (0.918, 0.418, 0.500)

---

Diffraction record for CsK4As4. The X-ray powder pattern is theoretical, not measured: it uses a GGA-PBE-relaxed structure and copper Kα.
Lines closer than 0.1° are merged.

Principal peaks in the range 2θ from 10° to 90°, by angle:
- 15.7°, rel. 56
- 17.8°, rel. 44
- 22.9°, rel. 45
- 23.5°, rel. 44
- 26.4°, rel. 100
- 28.2°, rel. 37
- 29.7°, rel. 25
- 33.1°, rel. 33
- 37.1°, rel. 54
- 37.2°, rel. 33

Cell lengths 10.689, 10.689, 6.622 Å; angles 90.00, 90.00, 90.00 degrees
Positions (direct):
Cs (0.250, 0.250, 0.250)
Cs (0.750, 0.750, 0.750)
K (0.103, 0.633, 0.108)
K (0.133, 0.897, 0.608)
K (0.367, 0.603, 0.608)
K (0.397, 0.867, 0.108)
K (0.603, 0.133, 0.892)
K (0.633, 0.397, 0.392)
K (0.867, 0.103, 0.392)
K (0.897, 0.367, 0.892)
As (0.050, 0.576, 0.603)
As (0.076, 0.950, 0.103)
As (0.424, 0.550, 0.103)
As (0.450, 0.924, 0.603)
As (0.550, 0.076, 0.397)
As (0.576, 0.450, 0.897)
As (0.924, 0.050, 0.897)
As (0.950, 0.424, 0.397)

---

Diffraction record for TlCuSn2S4. The X-ray powder pattern is theoretical, not measured: it uses a GGA-PBE-relaxed structure and copper Kα.
Lines closer than 0.1° are merged.

Principal peaks in the range 2θ from 10° to 90°, by angle:
- 23.1°, rel. 88
- 25.0°, rel. 40
- 26.4°, rel. 90
- 27.0°, rel. 38
- 30.8°, rel. 100
- 32.7°, rel. 75
- 39.4°, rel. 33
- 42.9°, rel. 31
- 44.1°, rel. 48
- 45.3°, rel. 63

Cell lengths 6.901, 6.901, 14.257 Å; angles 90.00, 90.00, 146.27 degrees
Positions (direct):
Tl (0.099, 0.901, 0.750)
Tl (0.901, 0.099, 0.250)
Cu (0.175, 0.825, 0.250)
Cu (0.825, 0.175, 0.750)
Sn (0.368, 0.632, 0.556)
Sn (0.368, 0.632, 0.944)
Sn (0.632, 0.368, 0.056)
Sn (0.632, 0.368, 0.444)
S (0.000, 0.000, 0.000)
S (0.000, 0.000, 0.500)
S (0.260, 0.740, 0.106)
S (0.260, 0.740, 0.394)
S (0.411, 0.589, 0.750)
S (0.589, 0.411, 0.250)
S (0.740, 0.260, 0.606)
S (0.740, 0.260, 0.894)

---

Diffraction record for La2HoCu9. The X-ray powder pattern is theoretical, not measured: it uses a GGA-PBE-relaxed structure and copper Kα.
Lines closer than 0.1° are merged.

Principal peaks in the range 2θ from 10° to 90°, by angle:
- 31.5°, rel. 39
- 34.3°, rel. 29
- 34.5°, rel. 40
- 40.2°, rel. 33
- 40.6°, rel. 100
- 42.2°, rel. 13
- 59.9°, rel. 12
- 65.6°, rel. 13
- 65.9°, rel. 20
- 72.7°, rel. 18

Cell lengths 9.071, 9.071, 9.071 Å; angles 33.32, 33.32, 33.32 degrees
Positions (direct):
La (0.142, 0.142, 0.142)
La (0.858, 0.858, 0.858)
Ho (0.000, 0.000, 0.000)
Cu (0.084, 0.576, 0.576)
Cu (0.332, 0.332, 0.332)
Cu (0.424, 0.424, 0.916)
Cu (0.424, 0.916, 0.424)
Cu (0.500, 0.500, 0.500)
Cu (0.576, 0.084, 0.576)
Cu (0.576, 0.576, 0.084)
Cu (0.668, 0.668, 0.668)
Cu (0.916, 0.424, 0.424)